The following is a computed powder X-ray diffraction pattern of In2SiMoAu. It was derived from the GGA-PBE geometry in Alexandria, using Cu Kα (λ = 1.5418 Å).

Top 12 peaks for 2θ = 5–70°, in order of rising 2θ:
| hkl | 2θ/deg | I_rel |
| --- | --- | --- |
| 1 0 0 | 17.66 | 33 |
| 1 1 0 | 25.08 | 30 |
| 1 0 1 | 26.12 | 106 |
| 1 1 1 | 31.71 | 1000 |
| 2 0 0 | 35.77 | 450 |
| 0 0 2 | 38.73 | 180 |
| 2 1 1 | 44.82 | 52 |
| 2 2 0 | 51.48 | 156 |
| 2 0 2 | 53.74 | 274 |
| 3 1 1 | 61.74 | 291 |
| 1 1 3 | 65.74 | 120 |
| 2 2 2 | 66.24 | 145 |

Atomic structure:
```
data_In2SiMoAu
_symmetry_space_group_name_H-M 'P 4/m m m'
_symmetry_Int_Tables_number 123
_symmetry_space_group_name_Hall '-P 4 2'
_cell_length_a 5.0208
_cell_length_b 5.0208
_cell_length_c 4.6500
_cell_angle_alpha 90.00
_cell_angle_beta 90.00
_cell_angle_gamma 90.00
loop_
_atom_site_label
_atom_site_type_symbol
_atom_site_fract_x
_atom_site_fract_y
_atom_site_fract_z
_atom_site_occupancy
In1 In 0.0000 0.5000 0.0000 1
Si1 Si 0.0000 0.0000 0.0000 1
Mo1 Mo 0.0000 0.0000 0.5000 1
Au1 Au 0.5000 0.5000 0.5000 1
```